# 1
# YTlOs2O8
Simulated powder XRD pattern, Cu Kα, 1.54184 Å. Input: a cell relaxed with GGA-PBE.
Lines closer than 0.1° are merged.

Top 10 peaks for 5 to 70 degrees two-theta, by angle:
2θ/deg	d/Å	Rel. int.	index
20.5	4.341	100	1 0 1
28.6	3.123	68	1 0 2
29.6	3.019	68	1 1 0
36.2	2.478	13	0 2 1
38.7	2.326	18	0 1 3
41.6	2.171	31	0 2 2
47.5	1.915	22	2 1 1
51.9	1.762	27	2 1 2
52.5	1.743	14	3 0 0
56.2	1.636	24	1 1 4

Structure:
abc: 6.0371 6.0371 7.7898
angles: 90.00 90.00 120.00
Space group P-3 (No. 147)
Symmetry-distinct sites (fractional):
Y (0.0000, 0.0000, 0.0000) [1 per cell]
Tl (0.0000, 0.0000, 0.5000) [1 per cell]
Os (0.3333, 0.6667, 0.2580) [2 per cell]
O (0.1644, 0.3390, 0.1791) [6 per cell]
O (0.3333, 0.6667, 0.4850) [2 per cell]



# 2
# CePu6
Simulated powder XRD pattern, Cu Kα, 1.54184 Å. Input: a cell relaxed with GGA-PBE.
Lines closer than 0.1° are merged.

Top 10 peaks for 5 to 70 degrees two-theta, by angle:
2θ/deg	d/Å	Rel. int.	index
18.7	4.737	55	1 1 0
26.6	3.350	42	2 0 0
32.7	2.735	100	2 1 1
38.0	2.369	10	2 2 0
42.7	2.119	14	3 1 0
47.0	1.934	54	2 2 2
51.0	1.791	59	3 2 1
54.8	1.675	39	4 0 0
61.9	1.498	17	4 2 0
65.3	1.428	14	3 3 2

Structure:
abc: 6.699 6.699 6.699
angles: 90.00 90.00 90.00
Space group Im-3m (No. 229)
Symmetry-distinct sites (fractional):
Ce (0.000, 0.000, 0.000) [2 per cell]
Pu (0.000, 0.250, 0.500) [12 per cell]



# 3
# K2Li4UO6
Simulated powder XRD pattern, Cu Kα, 1.54184 Å. Input: a cell relaxed with GGA-PBE.
Lines closer than 0.1° are merged.

Top 10 peaks for 5 to 70 degrees two-theta, by angle:
2θ/deg	d/Å	Rel. int.	index
15.6	5.673	19	0 0 1
16.7	5.297	62	1 0 0
23.0	3.871	100	0 1 1
29.2	3.058	30	1 1 0
35.9	2.500	15	0 1 2
37.5	2.400	33	0 2 1
43.5	2.080	29	1 1 2
46.9	1.936	14	0 2 2
48.2	1.888	28	1 2 1
65.7	1.422	11	3 1 1

Structure:
abc: 6.1159 6.1159 5.6729
angles: 90.00 90.00 120.00
Space group P-3m1 (No. 164)
Symmetry-distinct sites (fractional):
K (0.3333, 0.6667, 0.0311) [2 per cell]
Li (0.0000, 0.0000, 0.0000) [1 per cell]
Li (0.0000, 0.5000, 0.5000) [3 per cell]
U (0.0000, 0.0000, 0.5000) [1 per cell]
O (0.1636, 0.3273, 0.7050) [6 per cell]



# 4
# Dy7Er12Tm
Simulated powder XRD pattern, Cu Kα, 1.54184 Å. Input: a cell relaxed with GGA-PBE.
Lines closer than 0.1° are merged.

Top 10 peaks for 5 to 70 degrees two-theta, by angle:
2θ/deg	d/Å	Rel. int.	index
24.3	3.662	14	3 0 0
27.7	3.225	19	1 0 4
30.1	2.966	63	1 3 1
31.1	2.873	43	0 2 4
32.3	2.772	100	4 -1 2
39.9	2.260	32	1 2 5
42.8	2.111	24	4 1 3
52.1	1.755	15	5 2 0
56.3	1.635	14	2 5 3
60.1	1.539	14	6 -3 6

Structure:
abc: 12.6564 12.6564 13.4953
angles: 90.00 90.00 120.00
Space group R-3 (No. 148, hexagonal axes)
Symmetry-distinct sites (fractional):
Dy (0.0000, 0.0000, 0.0000) [3 per cell]
Dy (0.0685, 0.1998, 0.3464) [18 per cell]
Er (0.0007, 0.4364, 0.2491) [18 per cell]
Er (0.0683, 0.8674, 0.8496) [18 per cell]
Tm (0.0000, 0.0000, 0.5000) [3 per cell]



# 5
# Ac8PrY5
Simulated powder XRD pattern, Cu Kα, 1.54184 Å. Input: a cell relaxed with GGA-PBE.
Lines closer than 0.1° are merged.

Top 10 peaks for 5 to 70 degrees two-theta, by angle:
2θ/deg	d/Å	Rel. int.	index
21.0	4.231	29	1 0 1
23.2	3.832	40	2 1 -1
28.7	3.108	90	2 -1 1
28.9	3.092	90	-1 2 1
29.2	3.061	100	1 1 -3
30.6	2.924	100	0 3 -2
30.8	2.900	78	3 0 -2
31.0	2.881	62	2 2 -1
42.1	2.148	29	3 -3 0
45.8	1.980	42	3 3 -4

Structure:
abc: 8.935 8.991 9.353
angles: 117.11 116.39 91.88
Space group P1 (No. 1)
Symmetry-distinct sites (fractional):
Ac (0.000, 0.000, 0.000) [1 per cell]
Ac (0.000, 0.456, 0.142) [1 per cell]
Ac (0.263, 0.671, 0.979) [1 per cell]
Ac (0.452, 0.833, 0.757) [1 per cell]
Ac (0.458, 0.474, 0.274) [1 per cell]
Ac (0.628, 0.995, 0.526) [1 per cell]
Ac (0.755, 0.507, 0.729) [1 per cell]
Ac (0.773, 0.195, 0.284) [1 per cell]
Pr (0.734, 0.739, 0.153) [1 per cell]
Y (0.079, 0.191, 0.731) [1 per cell]
Y (0.179, 0.926, 0.404) [1 per cell]
Y (0.251, 0.368, 0.529) [1 per cell]
Y (0.522, 0.286, 0.871) [1 per cell]
Y (0.956, 0.696, 0.547) [1 per cell]